[1]
Structure and theoretical X-ray powder pattern of Ga2PdI8 (a crystal structure in the Materials Project, relaxed with PBE; λ = 1.5418 Å (Cu Kα)).
Intensities are scaled so that the largest is 100.

Cell and atoms:
```
11
Lattice="7.246 -4.686 0.000 7.246 4.686 0.000 -1.233 0.000 8.005" Properties=species:S:1:pos:R:3 pbc="T T T"
Ga 2.624 0.000 2.711
Ga 10.636 0.000 5.293
Pd 0.000 0.000 0.000
I 4.565 2.819 6.816
I 1.710 0.000 5.075
I 8.695 2.819 1.189
I 5.134 0.000 2.492
I 8.126 0.000 5.513
I 4.565 -2.819 6.816
I 11.550 0.000 2.930
I 8.695 -2.819 1.189
```

Top 10 peaks for 2θ from 10° to 80°, in order of falling intensity:
d (Å), I_rel
3.411, 100
3.745, 73
5.851, 58
2.318, 58
3.991, 47
4.044, 45
2.111, 39
7.842, 37
5.794, 34
3.581, 30

---

[2]
Structure and theoretical X-ray powder pattern of Nb4CrS8 (a crystal structure in the Materials Project, relaxed with PBE; λ = 1.5418 Å (Cu Kα)).
Intensities are scaled so that the largest is 100.

Cell and atoms:
```
26
Lattice="6.694 0.000 0.000 -3.347 5.797 0.000 0.000 0.000 12.085" Properties=species:S:1:pos:R:3 pbc="T T T"
Nb 0.000 0.000 3.021
Nb 0.000 0.000 9.064
Nb -1.610 2.935 3.021
Nb 1.610 2.935 3.021
Nb 0.000 5.724 3.021
Nb 3.347 0.073 9.064
Nb 1.737 2.862 9.064
Nb 4.957 2.862 9.064
Cr 0.000 0.000 0.000
Cr 0.000 0.000 6.042
S 0.000 1.925 7.491
S 0.000 1.925 10.637
S -1.680 4.835 7.491
S -1.680 4.835 10.637
S 1.667 0.963 1.448
S 1.667 0.963 4.594
S 0.000 3.865 1.412
S 0.000 3.865 4.631
S 3.347 1.932 7.454
S 3.347 1.932 10.673
S 1.680 4.835 7.491
S 1.680 4.835 10.637
S 5.027 0.963 1.448
S 5.027 0.963 4.594
S 3.347 3.872 1.448
S 3.347 3.872 4.594
```

Top 10 peaks for 2θ from 10° to 80°, in order of falling intensity:
d (Å), I_rel
2.092, 100
6.042, 80
2.614, 70
2.899, 37
1.674, 36
1.307, 20
2.819, 19
2.353, 14
1.654, 14
1.613, 13

---

[3]
Structure and theoretical X-ray powder pattern of LaEr3 (a crystal structure in the Materials Project, relaxed with PBE; λ = 1.5418 Å (Cu Kα)).
Intensities are scaled so that the largest is 100.

Cell and atoms:
```
4
Lattice="-2.535 2.535 5.053 2.535 -2.535 5.053 2.535 2.535 -5.053" Properties=species:S:1:pos:R:3 pbc="T T T"
La 0.000 0.000 0.000
Er 2.535 0.000 2.527
Er 0.000 0.000 5.053
Er 0.000 2.535 2.527
```

Top 10 peaks for 2θ from 10° to 80°, in order of falling intensity:
d (Å), I_rel
2.924, 100
1.791, 36
2.535, 34
1.528, 29
2.527, 17
1.525, 14
1.462, 12
1.268, 4
1.263, 2
4.532, 1

---

[4]
Structure and theoretical X-ray powder pattern of HfO2 (a crystal structure in the Materials Project, relaxed with PBE; λ = 1.5418 Å (Cu Kα)).
Intensities are scaled so that the largest is 100.

Cell and atoms:
```
24
Lattice="5.184 0.000 0.000 0.000 5.297 0.000 0.000 0.000 10.169" Properties=species:S:1:pos:R:3 pbc="T T T"
Hf 0.214 0.833 1.403
Hf 0.214 1.816 6.487
Hf 2.378 3.481 1.403
Hf 2.378 4.464 6.487
Hf 2.806 0.833 3.682
Hf 2.806 1.816 8.766
Hf 4.970 3.481 3.682
Hf 4.970 4.464 8.766
O 0.869 3.536 5.426
O 0.869 4.410 0.341
O 1.290 3.111 7.888
O 1.290 4.834 2.803
O 1.302 0.462 7.888
O 1.302 2.186 2.803
O 1.723 0.887 5.426
O 1.723 1.761 0.341
O 3.461 3.536 9.828
O 3.461 4.410 4.743
O 3.883 3.111 7.366
O 3.883 4.834 2.281
O 3.894 0.462 7.366
O 3.894 2.186 2.281
O 4.315 0.887 9.828
O 4.315 1.761 4.743
```

Top 10 peaks for 2θ from 10° to 80°, in order of falling intensity:
d (Å), I_rel
2.994, 100
3.481, 33
2.563, 20
2.501, 19
1.822, 19
2.542, 17
1.815, 17
1.499, 15
2.592, 15
1.613, 13

---

[5]
Structure and theoretical X-ray powder pattern of Mg14TiMo (a crystal structure in the Materials Project, relaxed with PBE; λ = 1.5418 Å (Cu Kα)).
Intensities are scaled so that the largest is 100.

Cell and atoms:
```
16
Lattice="10.046 0.000 0.000 0.000 3.050 5.530 0.000 -3.050 5.530" Properties=species:S:1:pos:R:3 pbc="T T T"
Mg 0.000 0.000 0.000
Mg 0.000 -1.518 2.774
Mg 0.000 0.000 5.518
Mg 0.000 1.518 2.774
Mg 2.539 0.000 7.299
Mg 2.621 0.000 1.743
Mg 2.631 -1.550 4.628
Mg 2.631 1.550 4.628
Mg 5.023 1.512 8.315
Mg 5.023 -1.512 8.315
Mg 7.415 -1.550 4.628
Mg 7.415 1.550 4.628
Mg 7.425 0.000 1.743
Mg 7.507 0.000 7.299
Ti 5.023 0.000 5.556
Mo 5.023 0.000 0.051
```

Top 10 peaks for 2θ from 10° to 80°, in order of falling intensity:
d (Å), I_rel
2.358, 100
2.422, 60
2.512, 41
2.670, 35
1.336, 22
1.830, 19
1.578, 18
1.419, 18
4.845, 17
1.291, 15

---

[6]
Structure and theoretical X-ray powder pattern of LiMg14Zr (a crystal structure in the Materials Project, relaxed with PBE; λ = 1.5418 Å (Cu Kα)).
Intensities are scaled so that the largest is 100.

Cell and atoms:
```
16
Lattice="6.442 0.000 0.000 -3.221 5.579 0.000 0.000 0.000 10.076" Properties=species:S:1:pos:R:3 pbc="T T T"
Li 0.000 0.000 0.000
Mg -1.605 2.793 0.000
Mg -1.584 2.805 5.038
Mg 0.000 1.830 2.515
Mg 0.000 1.830 7.561
Mg -1.636 4.664 2.515
Mg -1.636 4.664 7.561
Mg 1.584 2.805 5.038
Mg 0.000 5.549 5.038
Mg 1.605 2.793 0.000
Mg 0.000 5.573 0.000
Mg 3.221 1.860 2.539
Mg 3.221 1.860 7.538
Mg 1.636 4.664 2.515
Mg 1.636 4.664 7.561
Zr 0.000 0.000 5.038
```

Top 10 peaks for 2θ from 10° to 80°, in order of falling intensity:
d (Å), I_rel
2.440, 100
4.881, 30
2.790, 25
2.519, 24
1.357, 19
1.439, 18
1.611, 18
1.870, 15
1.344, 14
3.068, 9

---

[7]
Structure and theoretical X-ray powder pattern of Ba8LiTa7O24 (a crystal structure in the Materials Project, relaxed with PBE; λ = 1.5418 Å (Cu Kα)).
Intensities are scaled so that the largest is 100.

Cell and atoms:
```
40
Lattice="5.898 0.000 0.000 -2.949 5.108 0.000 0.000 0.000 19.147" Properties=species:S:1:pos:R:3 pbc="T T T"
Ba 0.000 0.000 0.000
Ba 0.000 0.000 4.216
Ba 0.000 0.000 11.785
Ba 0.000 3.405 2.284
Ba 0.000 3.405 9.535
Ba 0.000 3.405 13.988
Ba 2.949 1.703 6.880
Ba 2.949 1.703 16.584
Li 2.949 1.703 3.800
Ta 0.000 0.000 8.166
Ta 0.000 0.000 15.410
Ta 0.000 3.405 5.777
Ta 0.000 3.405 17.725
Ta 2.949 1.703 1.040
Ta 2.949 1.703 10.487
Ta 2.949 1.703 13.089
O -1.461 2.562 18.870
O -1.406 2.594 4.747
O 0.000 1.699 7.095
O -1.477 4.258 7.095
O 0.000 1.710 16.553
O -1.468 4.253 16.553
O 1.446 0.835 9.383
O 1.452 0.838 14.214
O 1.550 0.895 2.072
O 1.406 2.594 4.747
O 0.000 5.029 4.747
O 1.461 2.562 18.870
O 0.000 5.092 18.870
O 2.949 0.059 11.781
O 1.526 2.525 11.781
O 1.468 4.253 16.553
O 1.477 4.258 7.095
O 4.348 0.895 2.072
O 2.949 3.318 2.072
O 4.446 0.838 14.214
O 2.949 3.431 14.214
O 4.452 0.835 9.383
O 2.949 3.438 9.383
O 4.373 2.525 11.781
```

Top 10 peaks for 2θ from 10° to 80°, in order of falling intensity:
d (Å), I_rel
2.949, 100
3.064, 65
2.125, 34
2.706, 27
1.724, 25
1.703, 20
1.475, 18
1.994, 17
1.793, 14
1.652, 13

---

[8]
Structure and theoretical X-ray powder pattern of Ga2AsRh5 (a crystal structure in the Materials Project, relaxed with PBE; λ = 1.5418 Å (Cu Kα)).
Intensities are scaled so that the largest is 100.

Cell and atoms:
```
16
Lattice="5.513 0.000 0.000 0.000 10.293 0.000 0.000 0.000 4.072" Properties=species:S:1:pos:R:3 pbc="T T T"
Ga 0.632 1.538 0.000
Ga 2.125 6.684 0.000
Ga 3.389 3.609 0.000
Ga 4.881 8.755 0.000
As 0.000 5.147 2.036
As 2.757 0.000 2.036
Rh 0.000 0.000 2.036
Rh 0.758 7.459 2.036
Rh 0.925 4.086 0.000
Rh 1.831 9.233 0.000
Rh 1.999 2.312 2.036
Rh 2.757 5.147 2.036
Rh 3.515 7.981 2.036
Rh 3.682 1.060 0.000
Rh 4.588 6.207 0.000
Rh 4.755 2.835 2.036
```

Top 10 peaks for 2θ from 10° to 80°, in order of falling intensity:
d (Å), I_rel
2.175, 100
2.229, 95
2.036, 54
2.149, 36
2.087, 26
1.478, 21
2.763, 18
2.332, 18
2.283, 16
2.369, 15